Record 1
Structure and simulated PXRD pattern of Ba2YB2ClO6 (a cell relaxed with PBE; copper Kα).
Peak positions follow from Bragg's law for the DFT cell and can differ from measured ones.

Crystal structure
```
Ba2YB2ClO6
1.0
6.5005 0.0000 0.0000
0.0000 5.3614 0.0000
-1.1569 0.0000 11.4329
Ba Y B Cl O
4 2 4 2 12
Direct
0.0979 0.2500 0.2059
0.3383 0.2500 0.5744
0.6617 0.7500 0.4256
0.9021 0.7500 0.7941
0.3430 0.2500 0.9120
0.6570 0.7500 0.0880
0.2139 0.7500 0.0727
0.3712 0.7500 0.7249
0.6288 0.2500 0.2751
0.7861 0.2500 0.9273
0.1520 0.7500 0.4145
0.8480 0.2500 0.5855
0.0110 0.7500 0.0930
0.2860 0.5283 0.7616
0.2860 0.9717 0.7616
0.3280 0.5308 0.0658
0.3280 0.9692 0.0658
0.4796 0.2500 0.3532
0.5204 0.7500 0.6468
0.6720 0.0308 0.9342
0.6720 0.4692 0.9342
0.7140 0.0283 0.2384
0.7140 0.4717 0.2384
0.9890 0.2500 0.9070
```

Principal peaks in the range 2θ from 10° to 90°, low angle first:
| 2θ/deg | I/Imax |
| --- | --- |
| 21.5 | 58 |
| 21.8 | 24 |
| 23.4 | 21 |
| 25.9 | 20 |
| 27.9 | 26 |
| 28.7 | 100 |
| 33.4 | 32 |
| 34.8 | 18 |
| 37.3 | 23 |
| 42.8 | 24 |

Record 2
Structure and simulated PXRD pattern of MgSO3 (a cell relaxed with PBE; copper Kα).
Peak positions follow from Bragg's law for the DFT cell and can differ from measured ones.

Crystal structure
```
MgSO3
1.0
6.3662 3.6755 2.6082
-6.3662 3.6755 2.6082
0.0000 -7.3510 2.6082
Mg S O
6 6 18
Direct
0.1309 0.8143 0.3128
0.1857 0.6872 0.8691
0.3128 0.1309 0.8143
0.6872 0.8691 0.1857
0.8143 0.3128 0.1309
0.8691 0.1857 0.6872
0.1474 0.2922 0.4744
0.2922 0.4744 0.1474
0.4744 0.1474 0.2922
0.5256 0.8526 0.7078
0.7078 0.5256 0.8526
0.8526 0.7078 0.5256
0.0634 0.8409 0.7360
0.0854 0.3864 0.6368
0.1248 0.5189 0.1875
0.1591 0.2640 0.9366
0.1875 0.1248 0.5189
0.2640 0.9366 0.1591
0.3632 0.9146 0.6136
0.3864 0.6368 0.0854
0.4811 0.8125 0.8752
0.5189 0.1875 0.1248
0.6136 0.3632 0.9146
0.6368 0.0854 0.3864
0.7360 0.0634 0.8409
0.8125 0.8752 0.4811
0.8409 0.7360 0.0634
0.8752 0.4811 0.8125
0.9146 0.6136 0.3632
0.9366 0.1591 0.2640
```

Principal peaks in the range 2θ from 10° to 90°, low angle first:
| 2θ/deg | I/Imax |
| --- | --- |
| 13.9 | 18 |
| 24.2 | 38 |
| 28.0 | 39 |
| 31.4 | 100 |
| 37.4 | 17 |
| 42.5 | 29 |
| 51.7 | 11 |
| 59.7 | 18 |
| 59.9 | 25 |
| 63.7 | 20 |

Record 3
Structure and simulated PXRD pattern of K2U2O5 (a cell relaxed with PBE; copper Kα).
Peak positions follow from Bragg's law for the DFT cell and can differ from measured ones.

Crystal structure
```
K2U2O5
1.0
4.3584 0.0000 0.0000
0.0000 4.3584 0.0000
0.0000 0.0000 8.6235
K U O
2 2 5
Direct
0.0000 0.0000 0.0000
0.0000 0.0000 0.5000
0.5000 0.5000 0.2491
0.5000 0.5000 0.7509
0.0000 0.5000 0.2241
0.0000 0.5000 0.7759
0.5000 0.0000 0.2241
0.5000 0.0000 0.7759
0.5000 0.5000 0.5000
```

Principal peaks in the range 2θ from 10° to 90°, low angle first:
| 2θ/deg | I/Imax |
| --- | --- |
| 20.4 | 65 |
| 20.6 | 37 |
| 29.0 | 44 |
| 29.1 | 100 |
| 35.8 | 19 |
| 41.4 | 27 |
| 46.7 | 18 |
| 51.5 | 42 |
| 51.7 | 19 |
| 68.1 | 18 |

Record 4
Structure and simulated PXRD pattern of CeDy4S7 (a cell relaxed with PBE; copper Kα).
Peak positions follow from Bragg's law for the DFT cell and can differ from measured ones.

Crystal structure
```
CeDy4S7
1.0
6.5075 -1.9150 0.0000
6.5075 1.9150 0.0000
-2.9695 0.0000 11.3168
Ce Dy S
1 4 7
Direct
0.0000 0.0000 0.0000
0.1876 0.1876 0.7649
0.5865 0.5865 0.3925
0.7738 0.7738 0.1610
0.8871 0.8871 0.5774
0.1498 0.1498 0.2338
0.2281 0.2281 0.5287
0.3832 0.3832 0.0834
0.5451 0.5451 0.6292
0.6342 0.6342 0.9283
0.8426 0.8426 0.7890
0.9301 0.9301 0.3647
```

Principal peaks in the range 2θ from 10° to 90°, low angle first:
| 2θ/deg | I/Imax |
| --- | --- |
| 23.7 | 91 |
| 24.2 | 100 |
| 26.1 | 31 |
| 27.4 | 39 |
| 31.2 | 42 |
| 32.9 | 56 |
| 34.0 | 40 |
| 38.7 | 27 |
| 41.8 | 30 |
| 46.9 | 34 |

Record 5
Structure and simulated PXRD pattern of LaSiRu (a cell relaxed with PBE; copper Kα).
Peak positions follow from Bragg's law for the DFT cell and can differ from measured ones.

Crystal structure
```
LaSiRu
1.0
4.2604 0.0000 0.0000
0.0000 4.2604 0.0000
0.0000 0.0000 7.1671
La Si Ru
2 2 2
Direct
0.2500 0.2500 0.1843
0.7500 0.7500 0.8157
0.2500 0.2500 0.6666
0.7500 0.7500 0.3334
0.2500 0.7500 0.5000
0.7500 0.2500 0.5000
```

Principal peaks in the range 2θ from 10° to 90°, low angle first:
| 2θ/deg | I/Imax |
| --- | --- |
| 12.3 | 41 |
| 24.3 | 78 |
| 32.2 | 79 |
| 32.7 | 58 |
| 37.7 | 26 |
| 39.1 | 100 |
| 42.4 | 64 |
| 54.5 | 27 |
| 58.0 | 29 |
| 75.4 | 28 |

Record 6
Structure and simulated PXRD pattern of TcO2 (a cell relaxed with PBE; copper Kα).
Peak positions follow from Bragg's law for the DFT cell and can differ from measured ones.

Crystal structure
```
TcO2
1.0
4.8497 0.0000 0.0000
0.0000 4.8497 0.0000
0.0000 0.0000 2.7864
Tc O
2 4
Direct
0.0000 0.0000 0.0000
0.5000 0.5000 0.5000
0.2150 0.2150 0.5000
0.2850 0.7150 0.0000
0.7150 0.2850 0.0000
0.7850 0.7850 0.5000
```

Principal peaks in the range 2θ from 10° to 90°, low angle first:
| 2θ/deg | I/Imax |
| --- | --- |
| 26.0 | 100 |
| 37.1 | 18 |
| 37.2 | 64 |
| 53.4 | 19 |
| 53.5 | 56 |
| 60.4 | 16 |
| 66.9 | 17 |
| 67.2 | 5 |
| 73.3 | 10 |
| 79.0 | 17 |